# 1
For LiPm6Sn6, a GGA-PBE-relaxed structure gives the calculated powder diffractogram in this record (CuKα).
Kinematic intensities with the Lorentz-polarization factor, no thermal factor.

Cell and atoms:
a b c (Å): 7.5281 7.5281 9.0330
angles (deg): 90.00 90.00 120.00
Space group P6/mmm (No. 191)
Inequivalent atoms, fractional coordinates:
1 Li 0.0000 0.0000 0.0000 (multiplicity 1)
2 Pm 0.0000 0.5000 0.2511 (multiplicity 6)
3 Sn 0.0000 0.0000 0.3375 (multiplicity 2)
4 Sn 0.3333 0.6667 0.0000 (multiplicity 2)
5 Sn 0.3333 0.6667 0.5000 (multiplicity 2)

Most intense lines, 2θ = 10–80°, low angle first:
2θ 13.6, I = 248, hkl 1 0 0; 2θ 27.4, I = 455, hkl 2 0 0; 2θ 30.9, I = 383, hkl 1 1 2; 2θ 33.9, I = 1000, hkl 2 0 2; 2θ 42.4, I = 164, hkl 1 0 4; 2θ 48.4, I = 322, hkl 2 2 0; 2θ 60.4, I = 192, hkl 4 0 2; 2θ 64.4, I = 158, hkl 2 2 4



# 2
For K2LiIO6, a GGA-PBE-relaxed structure gives the calculated powder diffractogram in this record (CuKα).
Kinematic intensities with the Lorentz-polarization factor, no thermal factor.

Cell and atoms:
a b c (Å): 8.292 8.292 8.292
angles (deg): 90.00 90.00 90.00
Space group Fm-3m (No. 225)
Inequivalent atoms, fractional coordinates:
1 K 0.250 0.250 0.250 (multiplicity 8)
2 Li 0.000 0.000 0.000 (multiplicity 4)
3 I 0.000 0.000 0.500 (multiplicity 4)
4 O 0.000 0.000 0.272 (multiplicity 24)

Most intense lines, 2θ = 10–80°, low angle first:
2θ 18.5, I = 1000, hkl 1 1 1; 2θ 21.4, I = 205, hkl 2 0 0; 2θ 30.5, I = 781, hkl 2 2 0; 2θ 35.9, I = 410, hkl 3 1 1; 2θ 43.7, I = 387, hkl 4 0 0; 2θ 54.2, I = 284, hkl 4 2 2; 2θ 57.8, I = 178, hkl 5 1 1; 2θ 63.5, I = 213, hkl 4 4 0



# 3
For CdSn3Cl8, a GGA-PBE-relaxed structure gives the calculated powder diffractogram in this record (CuKα).
Kinematic intensities with the Lorentz-polarization factor, no thermal factor.

Cell and atoms:
a b c (Å): 7.882 12.418 8.182
angles (deg): 90.00 90.00 90.00
Space group C222 (No. 21)
Inequivalent atoms, fractional coordinates:
1 Cd 0.000 0.000 0.000 (multiplicity 2)
2 Sn 0.000 0.000 0.500 (multiplicity 2)
3 Sn 0.250 0.250 0.246 (multiplicity 4)
4 Cl 0.000 0.216 0.000 (multiplicity 4)
5 Cl 0.000 0.231 0.500 (multiplicity 4)
6 Cl 0.238 0.018 0.233 (multiplicity 8)

Most intense lines, 2θ = 10–80°, low angle first:
2θ 13.3, I = 995, hkl 1 1 0; 2θ 17.2, I = 1000, hkl 1 1 1; 2θ 25.6, I = 365, hkl 1 1 2; 2θ 28.8, I = 570, hkl 0 4 0; 2θ 31.5, I = 997, hkl 2 0 2; 2θ 43.2, I = 712, hkl 2 4 2; 2θ 44.2, I = 329, hkl 0 0 4; 2θ 53.7, I = 225, hkl 0 4 4



# 4
For Cu7Pt5, a GGA-PBE-relaxed structure gives the calculated powder diffractogram in this record (CuKα).
Kinematic intensities with the Lorentz-polarization factor, no thermal factor.

Cell and atoms:
a b c (Å): 2.7173 2.7173 25.8510
angles (deg): 90.00 90.00 120.00
Space group P3m1 (No. 156)
Inequivalent atoms, fractional coordinates:
1 Cu 0.0000 0.0000 0.0000 (multiplicity 1)
2 Cu 0.0000 0.0000 0.2456 (multiplicity 1)
3 Cu 0.0000 0.0000 0.4917 (multiplicity 1)
4 Cu 0.0000 0.0000 0.7374 (multiplicity 1)
5 Cu 0.3333 0.6667 0.5686 (multiplicity 1)
6 Cu 0.6667 0.3333 0.1689 (multiplicity 1)
7 Cu 0.6667 0.3333 0.4148 (multiplicity 1)
8 Pt 0.3333 0.6667 0.0844 (multiplicity 1)
9 Pt 0.3333 0.6667 0.3302 (multiplicity 1)
10 Pt 0.3333 0.6667 0.8207 (multiplicity 1)
11 Pt 0.6667 0.3333 0.6531 (multiplicity 1)
12 Pt 0.6667 0.3333 0.9167 (multiplicity 1)

Most intense lines, 2θ = 10–80°, low angle first:
2θ 13.7, I = 199, hkl 0 0 4; 2θ 38.3, I = 106, hkl 0 0 11; 2θ 39.7, I = 100, hkl 1 0 3; 2θ 40.8, I = 1000, hkl 0 1 4; 2θ 41.9, I = 240, hkl 0 0 12; 2θ 47.8, I = 580, hkl 1 0 8; 2θ 69.1, I = 199, hkl 1 1 0; 2θ 70.7, I = 132, hkl 0 1 16